[1]
Computed X-ray powder pattern
Compound: ZrFeRe5
Radiation: λ = 1.5418 Å (Cu Kα)
Structure: a crystal structure in Alexandria, relaxed with PBE
Intensities are scaled so that the largest is 100.

Structure:
```
data_ZrFeRe5
_cell_length_a 8.3063
_cell_length_b 5.2161
_cell_length_c 10.5804
_cell_angle_alpha 90.00
_cell_angle_beta 90.00
_cell_angle_gamma 90.00
_symmetry_space_group_name_H-M 'P 1'
_symmetry_Int_Tables_number 1
loop_
_symmetry_equiv_pos_as_xyz
'x,y,z'
loop_
_atom_site_label
_atom_site_type_symbol
_atom_site_fract_x
_atom_site_fract_y
_atom_site_fract_z
_atom_site_occupancy
Zr1 Zr 0.2337 0.2500 0.0610 1
Zr2 Zr 0.2663 0.7500 0.5610 1
Zr3 Zr 0.7337 0.2500 0.4390 1
Zr4 Zr 0.7663 0.7500 0.9390 1
Fe1 Fe 0.1409 0.7500 0.8459 1
Fe2 Fe 0.3591 0.2500 0.3459 1
Fe3 Fe 0.6409 0.7500 0.6541 1
Fe4 Fe 0.8591 0.2500 0.1541 1
Re1 Re 0.0686 0.0122 0.3060 1
Re2 Re 0.0686 0.4878 0.3060 1
Re3 Re 0.0820 0.7500 0.0750 1
Re4 Re 0.1009 0.2500 0.5222 1
Re5 Re 0.1814 0.2500 0.7665 1
Re6 Re 0.3186 0.7500 0.2665 1
Re7 Re 0.3991 0.7500 0.0222 1
Re8 Re 0.4180 0.2500 0.5750 1
Re9 Re 0.4314 0.5122 0.8060 1
Re10 Re 0.4314 0.9878 0.8060 1
Re11 Re 0.5686 0.0122 0.1940 1
Re12 Re 0.5686 0.4878 0.1940 1
Re13 Re 0.5820 0.7500 0.4250 1
Re14 Re 0.6009 0.2500 0.9778 1
Re15 Re 0.6814 0.2500 0.7335 1
Re16 Re 0.8186 0.7500 0.2335 1
Re17 Re 0.8991 0.7500 0.4778 1
Re18 Re 0.9180 0.2500 0.9250 1
Re19 Re 0.9314 0.5122 0.6940 1
Re20 Re 0.9314 0.9878 0.6940 1
```

Principal peaks in the range 2θ from 5° to 70°, sorted by position:
d = 2.520 Å, intensity 69
d = 2.383 Å, intensity 100
d = 2.162 Å, intensity 57
d = 2.051 Å, intensity 87
d = 2.038 Å, intensity 92
d = 2.033 Å, intensity 64



[2]
Computed X-ray powder pattern
Compound: BaCu2AgBr8
Radiation: λ = 1.5418 Å (Cu Kα)
Structure: a crystal structure in Alexandria, relaxed with PBE
Intensities are scaled so that the largest is 100.

Structure:
```
data_BaCu2AgBr8
_cell_length_a 7.6182
_cell_length_b 7.6182
_cell_length_c 8.6515
_cell_angle_alpha 90.00
_cell_angle_beta 90.00
_cell_angle_gamma 120.00
_symmetry_space_group_name_H-M 'P 1'
_symmetry_Int_Tables_number 1
loop_
_symmetry_equiv_pos_as_xyz
'x,y,z'
loop_
_atom_site_label
_atom_site_type_symbol
_atom_site_fract_x
_atom_site_fract_y
_atom_site_fract_z
_atom_site_occupancy
Ba1 Ba 0.0000 0.0000 0.0000 1
Cu1 Cu 0.3333 0.6667 0.2139 1
Cu2 Cu 0.6667 0.3333 0.7861 1
Ag1 Ag 0.0000 0.0000 0.5000 1
Br1 Br 0.1600 0.3201 0.2996 1
Br2 Br 0.1600 0.8400 0.2996 1
Br3 Br 0.3201 0.1600 0.7004 1
Br4 Br 0.3333 0.6667 0.9466 1
Br5 Br 0.6667 0.3333 0.0534 1
Br6 Br 0.6799 0.8400 0.2996 1
Br7 Br 0.8400 0.1600 0.7004 1
Br8 Br 0.8400 0.6799 0.7004 1
```

Principal peaks in the range 2θ from 5° to 70°, sorted by position:
d = 6.598 Å, intensity 67
d = 5.246 Å, intensity 100
d = 3.809 Å, intensity 70
d = 2.859 Å, intensity 64
d = 2.623 Å, intensity 84
d = 1.905 Å, intensity 71



[3]
Computed X-ray powder pattern
Compound: AcAl9Cu2
Radiation: λ = 1.5418 Å (Cu Kα)
Structure: a crystal structure in Alexandria, relaxed with PBE
Intensities are scaled so that the largest is 100.

Structure:
```
data_AcAl9Cu2
_cell_length_a 8.4745
_cell_length_b 8.4745
_cell_length_c 8.4745
_cell_angle_alpha 100.40
_cell_angle_beta 100.40
_cell_angle_gamma 129.72
_symmetry_space_group_name_H-M 'P 1'
_symmetry_Int_Tables_number 1
loop_
_symmetry_equiv_pos_as_xyz
'x,y,z'
loop_
_atom_site_label
_atom_site_type_symbol
_atom_site_fract_x
_atom_site_fract_y
_atom_site_fract_z
_atom_site_occupancy
Ac1 Ac 0.3750 0.6250 0.7500 1
Ac2 Ac 0.6250 0.3750 0.2500 1
Al1 Al 0.1250 0.8750 0.2500 1
Al2 Al 0.1383 0.5628 0.3273 1
Al3 Al 0.1383 0.8110 0.5756 1
Al4 Al 0.1890 0.2645 0.3273 1
Al5 Al 0.1890 0.8617 0.9244 1
Al6 Al 0.2645 0.1890 0.8273 1
Al7 Al 0.2645 0.4372 0.0756 1
Al8 Al 0.4372 0.2645 0.5756 1
Al9 Al 0.4372 0.8617 0.1727 1
Al10 Al 0.5628 0.1383 0.8273 1
Al11 Al 0.5628 0.7355 0.4244 1
Al12 Al 0.7355 0.5628 0.9244 1
Al13 Al 0.7355 0.8110 0.1727 1
Al14 Al 0.8110 0.1383 0.0756 1
Al15 Al 0.8110 0.7355 0.6727 1
Al16 Al 0.8617 0.1890 0.4244 1
Al17 Al 0.8617 0.4372 0.6727 1
Al18 Al 0.8750 0.1250 0.7500 1
Cu1 Cu 0.0000 0.0000 0.0000 1
Cu2 Cu 0.0000 0.0000 0.5000 1
Cu3 Cu 0.0000 0.5000 0.0000 1
Cu4 Cu 0.5000 0.0000 0.5000 1
```

Principal peaks in the range 2θ from 5° to 70°, sorted by position:
d = 5.425 Å, intensity 36
d = 4.024 Å, intensity 100
d = 3.259 Å, intensity 42
d = 2.776 Å, intensity 65
d = 2.484 Å, intensity 84
d = 2.426 Å, intensity 47



[4]
Computed X-ray powder pattern
Compound: MgSe3
Radiation: λ = 1.5418 Å (Cu Kα)
Structure: a crystal structure in Alexandria, relaxed with PBE
Intensities are scaled so that the largest is 100.

Structure:
```
data_MgSe3
_cell_length_a 18.9426
_cell_length_b 18.9426
_cell_length_c 18.9426
_cell_angle_alpha 168.75
_cell_angle_beta 168.75
_cell_angle_gamma 15.94
_symmetry_space_group_name_H-M 'P 1'
_symmetry_Int_Tables_number 1
loop_
_symmetry_equiv_pos_as_xyz
'x,y,z'
loop_
_atom_site_label
_atom_site_type_symbol
_atom_site_fract_x
_atom_site_fract_y
_atom_site_fract_z
_atom_site_occupancy
Mg1 Mg 0.1310 0.1310 0.0000 1
Mg2 Mg 0.8690 0.8690 0.0000 1
Se1 Se 0.0000 0.5000 0.5000 1
Se2 Se 0.2500 0.7500 0.5000 1
Se3 Se 0.3697 0.3697 0.0000 1
Se4 Se 0.5000 0.0000 0.5000 1
Se5 Se 0.6303 0.6303 0.0000 1
Se6 Se 0.7500 0.2500 0.5000 1
```

Principal peaks in the range 2θ from 5° to 70°, sorted by position:
d = 9.380 Å, intensity 19
d = 4.690 Å, intensity 100
d = 2.530 Å, intensity 81
d = 2.011 Å, intensity 39
d = 1.857 Å, intensity 16
d = 1.727 Å, intensity 25



[5]
Computed X-ray powder pattern
Compound: ZrNi5S4
Radiation: λ = 1.5418 Å (Cu Kα)
Structure: a crystal structure in Alexandria, relaxed with PBE
Intensities are scaled so that the largest is 100.

Structure:
```
data_ZrNi5S4
_cell_length_a 7.0418
_cell_length_b 7.0418
_cell_length_c 7.0418
_cell_angle_alpha 150.41
_cell_angle_beta 124.60
_cell_angle_gamma 64.06
_symmetry_space_group_name_H-M 'P 1'
_symmetry_Int_Tables_number 1
loop_
_symmetry_equiv_pos_as_xyz
'x,y,z'
loop_
_atom_site_label
_atom_site_type_symbol
_atom_site_fract_x
_atom_site_fract_y
_atom_site_fract_z
_atom_site_occupancy
Zr1 Zr 0.0000 0.0000 0.0000 1
Ni1 Ni 0.0193 0.3246 0.6947 1
Ni2 Ni 0.3700 0.6754 0.6947 1
Ni3 Ni 0.5000 0.0000 0.5000 1
Ni4 Ni 0.6300 0.3246 0.3053 1
Ni5 Ni 0.9807 0.6754 0.3053 1
S1 S 0.2303 0.2303 0.0000 1
S2 S 0.2896 0.5000 0.7896 1
S3 S 0.7104 0.5000 0.2104 1
S4 S 0.7697 0.7697 0.0000 1
```

Principal peaks in the range 2θ from 5° to 70°, sorted by position:
d = 2.985 Å, intensity 21
d = 2.669 Å, intensity 76
d = 2.373 Å, intensity 100
d = 1.990 Å, intensity 27
d = 1.798 Å, intensity 31
d = 1.700 Å, intensity 57



[6]
Computed X-ray powder pattern
Compound: Er2Th3In7
Radiation: λ = 1.5418 Å (Cu Kα)
Structure: a crystal structure in Alexandria, relaxed with PBE
Intensities are scaled so that the largest is 100.

Structure:
```
data_Er2Th3In7
_cell_length_a 15.3688
_cell_length_b 15.3688
_cell_length_c 4.8515
_cell_angle_alpha 90.00
_cell_angle_beta 90.00
_cell_angle_gamma 161.99
_symmetry_space_group_name_H-M 'P 1'
_symmetry_Int_Tables_number 1
loop_
_symmetry_equiv_pos_as_xyz
'x,y,z'
loop_
_atom_site_label
_atom_site_type_symbol
_atom_site_fract_x
_atom_site_fract_y
_atom_site_fract_z
_atom_site_occupancy
Er1 Er 0.1585 0.8415 0.0000 1
Er2 Er 0.8415 0.1585 0.0000 1
Th1 Th 0.3486 0.6514 0.5000 1
Th2 Th 0.5000 0.5000 0.5000 1
Th3 Th 0.6514 0.3486 0.5000 1
In1 In 0.0000 0.0000 0.0000 1
In2 In 0.0790 0.9210 0.5000 1
In3 In 0.2733 0.7267 0.0000 1
In4 In 0.4214 0.5786 0.0000 1
In5 In 0.5786 0.4214 0.0000 1
In6 In 0.7267 0.2733 0.0000 1
In7 In 0.9210 0.0790 0.5000 1
```

Principal peaks in the range 2θ from 5° to 70°, sorted by position:
d = 2.977 Å, intensity 21
d = 2.684 Å, intensity 100
d = 2.426 Å, intensity 23
d = 2.405 Å, intensity 26
d = 1.708 Å, intensity 16
d = 1.445 Å, intensity 15